The following is a calculated powder XRD pattern of SrLiYS3. It was derived from DFT lattice parameters and positions (GGA-PBE), using Cu Kα X-rays.
Lines closer than 0.1° are merged.

Structure:
```
SrLiYS3
1.0
8.350 0.000 0.000
0.000 4.002 0.000
-1.985 0.000 8.406
Sr Li Y S
2 2 2 6
direct
0.187 0.250 0.234
0.813 0.750 0.766
0.086 0.250 0.587
0.914 0.750 0.413
0.332 0.750 0.833
0.668 0.250 0.167
0.113 0.250 0.867
0.208 0.750 0.512
0.438 0.750 0.164
0.562 0.250 0.836
0.792 0.250 0.488
0.887 0.750 0.133
```

The 6 most intense peaks (10° ≤ 2θ ≤ 90°), by intensity:
2θ (°)	I/Imax	hkl
31.46	100	2 1 -1
31.37	74	2 1 0
24.64	47	0 1 1
31.94	42	0 0 3
10.52	42	0 0 1
41.02	38	2 1 2

***

The following is a calculated powder XRD pattern of Er3Pa2Co3. It was derived from DFT lattice parameters and positions (GGA-PBE), using Cu Kα X-rays.
Lines closer than 0.1° are merged.

Structure:
```
Er3Pa2Co3
1.0
6.407 0.000 0.000
0.000 13.959 0.000
0.000 0.000 7.535
Er Pa Co
12 8 12
direct
0.000 0.082 0.234
0.000 0.418 0.234
0.000 0.582 0.766
0.000 0.918 0.766
0.234 0.250 0.489
0.266 0.750 0.989
0.500 0.082 0.266
0.500 0.418 0.266
0.500 0.582 0.734
0.500 0.918 0.734
0.734 0.250 0.011
0.766 0.750 0.511
0.247 0.628 0.364
0.247 0.872 0.364
0.253 0.128 0.864
0.253 0.372 0.864
0.747 0.628 0.136
0.747 0.872 0.136
0.753 0.128 0.636
0.753 0.372 0.636
0.216 0.057 0.584
0.216 0.443 0.584
0.246 0.750 0.598
0.254 0.250 0.098
0.284 0.557 0.084
0.284 0.943 0.084
0.716 0.057 0.916
0.716 0.443 0.916
0.746 0.750 0.902
0.754 0.250 0.402
0.784 0.557 0.416
0.784 0.943 0.416
```

The 6 most intense peaks (10° ≤ 2θ ≤ 90°), by intensity:
2θ (°)	I/Imax	hkl
36.07	100	2 3 1
37.84	51	1 4 2
31.00	50	2 1 1
37.10	43	1 5 1
40.83	39	0 3 3
39.06	38	1 1 3

***

The following is a calculated powder XRD pattern of LiNb2Ga2. It was derived from DFT lattice parameters and positions (GGA-PBE), using Cu Kα X-rays.
Lines closer than 0.1° are merged.

Structure:
```
LiNb2Ga2
1.0
8.133 0.000 0.000
0.000 8.133 0.000
0.000 0.000 2.818
Li Nb Ga
2 4 4
direct
0.000 0.000 0.000
0.500 0.500 0.000
0.117 0.383 0.000
0.383 0.883 0.000
0.617 0.117 0.000
0.883 0.617 0.000
0.179 0.679 0.500
0.321 0.179 0.500
0.679 0.821 0.500
0.821 0.321 0.500
```

The 6 most intense peaks (10° ≤ 2θ ≤ 90°), by intensity:
2θ (°)	I/Imax	hkl
40.50	100	2 1 1
15.41	88	1 1 0
34.89	33	3 1 0
39.97	31	3 2 0
44.56	16	4 0 0
46.01	15	4 1 0

***

The following is a calculated powder XRD pattern of SiMoRu2Br. It was derived from DFT lattice parameters and positions (GGA-PBE), using Cu Kα X-rays.
Lines closer than 0.1° are merged.

Structure:
```
SiMoRu2Br
1.0
4.508 0.000 0.000
0.000 4.508 0.000
0.000 0.000 4.806
Si Mo Ru Br
1 1 2 1
direct
0.000 0.000 0.000
0.500 0.500 0.000
0.000 0.500 0.500
0.500 0.000 0.500
0.000 0.000 0.500
```

The 6 most intense peaks (10° ≤ 2θ ≤ 90°), by intensity:
2θ (°)	I/Imax	hkl
33.74	100	1 1 1
40.00	84	2 0 0
27.12	64	1 0 1
55.93	62	2 0 2
37.43	51	0 0 2
18.46	47	0 0 1